The following is a simulated X-ray powder pattern of InCoBr2. It was derived from a GGA-PBE-relaxed structure, using a wavelength of 1.5418 Å.
Neutral-atom scattering factors, no anomalous dispersion.

Structure:
Cell: 6.5698 6.5698 6.5698 Å, 105.66 105.66 117.40°
Fractional coordinates of all 8 atoms:
In1 0.0000 0.0000 0.0000
In2 0.7500 0.2500 0.5000
Co1 0.2500 0.7500 0.5000
Co2 0.5000 0.5000 0.0000
Br1 0.2320 0.6250 0.1070
Br2 0.3750 0.4820 0.6070
Br3 0.5180 0.1250 0.8930
Br4 0.8750 0.7680 0.3930

The 8 most intense peaks (15 to 90 degrees two-theta), in order of falling intensity:
- d = 2.917 Å, 30.7 deg, I 100
- d = 3.150 Å, 28.3 deg, I 73
- d = 2.022 Å, 44.8 deg, I 46
- d = 2.807 Å, 31.9 deg, I 43
- d = 1.775 Å, 51.5 deg, I 25
- d = 1.568 Å, 58.9 deg, I 24
- d = 2.467 Å, 36.4 deg, I 16
- d = 3.969 Å, 22.4 deg, I 14